No. 1
Structure and computed X-ray diffraction stick pattern of Sc19Ru4Br28 (DFT lattice parameters and positions (GGA-PBE); Cu Ka).
Intensities are scaled so that the largest is 100.

Main lines, low angle first (2θ from 10° to 90°):
| two_theta | I (rel.) |
| --- | --- |
| 11.0 | 10 |
| 26.9 | 15 |
| 27.7 | 48 |
| 31.9 | 100 |
| 45.2 | 26 |
| 46.2 | 32 |
| 54.3 | 12 |
| 54.7 | 7 |
| 57.2 | 12 |
| 76.5 | 8 |

Structural model:
```
Sc19Ru4Br28
1.0
7.8572 4.5364 6.6268
-7.8572 4.5364 6.6268
0.0000 -9.0727 6.6268
Sc Ru Br
19 4 28
Direct
0.0061 0.2176 0.7763 Sc
0.0061 0.7763 0.2176 Sc
0.0086 0.0086 0.5696 Sc
0.0086 0.5696 0.0086 Sc
0.0264 0.0264 0.0264 Sc
0.0320 0.7603 0.7603 Sc
0.2176 0.0061 0.7763 Sc
0.2176 0.7763 0.0061 Sc
0.2671 0.2671 0.5063 Sc
0.2671 0.5063 0.2671 Sc
0.5063 0.2671 0.2671 Sc
0.5696 0.0086 0.0086 Sc
0.5734 0.7816 0.7816 Sc
0.7603 0.0320 0.7603 Sc
0.7603 0.7603 0.0320 Sc
0.7763 0.0061 0.2176 Sc
0.7763 0.2176 0.0061 Sc
0.7816 0.5734 0.7816 Sc
0.7816 0.7816 0.5734 Sc
0.7948 0.9933 0.9933 Ru
0.7997 0.7997 0.7997 Ru
0.9933 0.7948 0.9933 Ru
0.9933 0.9933 0.7948 Ru
0.0169 0.0169 0.2832 Br
0.0169 0.2832 0.0169 Br
0.0195 0.2549 0.5274 Br
0.0195 0.5274 0.2549 Br
0.0248 0.5008 0.7729 Br
0.0248 0.7729 0.5008 Br
0.2523 0.2523 0.7552 Br
0.2523 0.7552 0.2523 Br
0.2549 0.0195 0.5274 Br
0.2549 0.5034 0.5034 Br
0.2549 0.5274 0.0195 Br
0.2612 0.2612 0.2612 Br
0.2831 0.0169 0.0169 Br
0.2926 0.7682 0.7682 Br
0.5008 0.0248 0.7729 Br
0.5008 0.7729 0.0248 Br
0.5034 0.2549 0.5034 Br
0.5034 0.5034 0.2549 Br
0.5274 0.0195 0.2549 Br
0.5274 0.2549 0.0195 Br
0.5459 0.5459 0.7893 Br
0.5459 0.7893 0.5459 Br
0.7552 0.2523 0.2523 Br
0.7682 0.2926 0.7682 Br
0.7682 0.7682 0.2926 Br
0.7729 0.0248 0.5008 Br
0.7729 0.5008 0.0248 Br
0.7893 0.5459 0.5459 Br
```

No. 2
Structure and computed X-ray diffraction stick pattern of ZnRuSe2Br (DFT lattice parameters and positions (GGA-PBE); Cu Ka).
Intensities are scaled so that the largest is 100.

Main lines, low angle first (2θ from 10° to 90°):
| two_theta | I (rel.) |
| --- | --- |
| 16.7 | 27 |
| 18.4 | 47 |
| 25.0 | 29 |
| 31.2 | 83 |
| 33.8 | 66 |
| 37.3 | 100 |
| 51.2 | 79 |
| 53.8 | 34 |
| 63.5 | 20 |
| 65.1 | 38 |

Structural model:
```
ZnRuSe2Br
1.0
4.8188 0.0000 0.0000
0.0000 4.8188 0.0000
0.0000 0.0000 5.2999
Zn Ru Se Br
1 1 2 1
Direct
0.0000 0.0000 0.0000 Zn
0.5000 0.5000 0.5000 Ru
0.0000 0.5000 0.5000 Se
0.5000 0.0000 0.5000 Se
0.5000 0.5000 0.0000 Br
```

No. 3
Structure and computed X-ray diffraction stick pattern of Sm3RuBr3 (DFT lattice parameters and positions (GGA-PBE); Cu Ka).
Intensities are scaled so that the largest is 100.

Main lines, low angle first (2θ from 10° to 90°):
| two_theta | I (rel.) |
| --- | --- |
| 10.1 | 48 |
| 29.5 | 100 |
| 30.6 | 17 |
| 31.5 | 11 |
| 32.9 | 8 |
| 37.7 | 15 |
| 41.9 | 35 |
| 42.6 | 8 |
| 43.2 | 19 |
| 53.2 | 13 |

Structural model:
```
Sm3RuBr3
1.0
8.7296 0.0000 0.0000
0.0000 4.1872 0.0000
-0.2933 0.0000 12.1084
Sm Ru Br
6 2 6
Direct
0.1013 0.2500 0.3278 Sm
0.1364 0.2500 0.8687 Sm
0.2803 0.7500 0.1034 Sm
0.7197 0.2500 0.8966 Sm
0.8636 0.7500 0.1313 Sm
0.8987 0.7500 0.6722 Sm
0.0624 0.2500 0.0990 Ru
0.9376 0.7500 0.9010 Ru
0.1306 0.2500 0.6024 Br
0.3383 0.7500 0.3553 Br
0.4295 0.7500 0.8703 Br
0.5705 0.2500 0.1297 Br
0.6617 0.2500 0.6447 Br
0.8694 0.7500 0.3976 Br
```

No. 4
Structure and computed X-ray diffraction stick pattern of TeRuBr4 (DFT lattice parameters and positions (GGA-PBE); Cu Ka).
Intensities are scaled so that the largest is 100.

Main lines, low angle first (2θ from 10° to 90°):
| two_theta | I (rel.) |
| --- | --- |
| 29.1 | 38 |
| 34.3 | 100 |
| 35.9 | 30 |
| 51.6 | 15 |
| 55.0 | 34 |
| 60.4 | 28 |
| 71.3 | 11 |
| 72.2 | 11 |
| 83.4 | 7 |
| 86.1 | 21 |

Structural model:
```
TeRuBr4
1.0
0.0000 4.3380 4.3380
4.3380 0.0000 4.3380
4.3380 4.3380 0.0000
Te Ru Br
1 1 4
Direct
0.0000 0.0000 0.0000 Te
0.2500 0.2500 0.2500 Ru
0.1278 0.6241 0.6241 Br
0.6241 0.1278 0.6241 Br
0.6241 0.6241 0.1278 Br
0.6241 0.6241 0.6241 Br
```